Calculated powder diffraction line list of TiBeB for copper Kα, from a crystal structure in the Materials Project, relaxed with PBE.
Kinematic intensities with the Lorentz-polarization factor, no thermal factor.

Cell and atoms:
Cell: 3.2782 3.2782 3.1429 Å, 90.00 90.00 120.00°
Sites, in units of the cell vectors:
Ti  0.0000  0.0000  0.0000
Be  0.3333  0.6667  0.5000
B  0.6667  0.3333  0.5000

Largest 6 diffraction maxima, in order of falling intensity, 2θ from 10° to 90°:
2θ/deg, I (rel.)
42.9, 100
31.5, 69
56.1, 26
28.4, 20
73.2, 18
85.6, 15